1.
Simulated PXRD pattern of Tm7Co2Cu2 for λ = 1.5418 Å (Cu Kα), from a cell relaxed with PBE.
Kinematic intensities with the Lorentz-polarization factor, no thermal factor.

Top 10 peaks for 2θ from 10° to 80°, in order of rising 2θ:
2θ (°), I (rel.), hkl
26.4, 22, 0 0 2
29.8, 100, 2 2 0
30.3, 55, 1 1 2
31.4, 25, 0 2 2
33.7, 68, 0 4 0
38.8, 44, 1 3 2
40.2, 93, 2 2 2
57.9, 20, 2 6 0
63.1, 24, 2 2 4
65.4, 19, 0 4 4

Cell and atoms:
```
data_Tm7Co2Cu2
_cell_length_a 7.2787
_cell_length_b 10.6270
_cell_length_c 6.7608
_cell_angle_alpha 90.00
_cell_angle_beta 90.00
_cell_angle_gamma 90.00
_space_group_name_H-M_alt 'C m m m'
_space_group_IT_number 65
_space_group_name_Hall '-C 2 2'
loop_
_atom_site_label
_atom_site_type_symbol
_atom_site_fract_x
_atom_site_fract_y
_atom_site_fract_z
_atom_site_occupancy
Tm1 Tm 0.0000 0.0000 0.0000 1
Tm2 Tm 0.0000 0.5000 0.2487 1
Tm3 Tm 0.2500 0.2500 0.2566 1
Co1 Co 0.0000 0.2969 0.0000 1
Cu1 Cu 0.1710 0.0000 0.5000 1
```

---

2.
Simulated PXRD pattern of Te2PSe for λ = 1.5418 Å (Cu Kα), from a cell relaxed with PBE.
Kinematic intensities with the Lorentz-polarization factor, no thermal factor.

Top 10 peaks for 2θ from 10° to 80°, in order of rising 2θ:
2θ (°), I (rel.), hkl
21.8, 100, 1 0 -1
23.3, 12, 0 1 0
34.1, 62, 0 1 2
34.8, 57, 1 1 1
44.4, 14, 2 0 -2
45.9, 12, 1 0 3
46.2, 26, 1 1 -3
47.7, 15, 0 2 0
47.9, 22, 2 1 0
53.0, 17, 1 2 -1

Cell and atoms:
```
data_Te2PSe
_cell_length_a 4.4513
_cell_length_b 3.8148
_cell_length_c 7.3676
_cell_angle_alpha 90.00
_cell_angle_beta 99.97
_cell_angle_gamma 90.00
_space_group_name_H-M_alt 'P 1 2/m 1'
_space_group_IT_number 10
_space_group_name_Hall '-P 2y'
loop_
_atom_site_label
_atom_site_type_symbol
_atom_site_fract_x
_atom_site_fract_y
_atom_site_fract_z
_atom_site_occupancy
Te1 Te 0.2199 0.0000 0.2376 1
P1 P 0.0000 0.5000 0.0000 1
Se1 Se 0.5000 0.5000 0.5000 1
```

---

3.
Simulated PXRD pattern of Tb3Cd2Ir for λ = 1.5418 Å (Cu Kα), from a cell relaxed with PBE.
Kinematic intensities with the Lorentz-polarization factor, no thermal factor.

Top 10 peaks for 2θ from 10° to 80°, in order of rising 2θ:
2θ (°), I (rel.), hkl
11.7, 9, 0 0 1
34.5, 100, 1 3 2
35.3, 23, 0 6 0
35.4, 25, 2 0 0
48.3, 8, 0 0 4
50.9, 17, 2 6 0
61.3, 16, 2 0 4
62.9, 15, 1 9 2
63.0, 17, 3 3 2
72.8, 9, 2 6 4

Cell and atoms:
```
data_Tb3Cd2Ir
_cell_length_a 5.0704
_cell_length_b 15.2552
_cell_length_c 7.5345
_cell_angle_alpha 90.00
_cell_angle_beta 90.00
_cell_angle_gamma 90.00
_space_group_name_H-M_alt 'C m m m'
_space_group_IT_number 65
_space_group_name_Hall '-C 2 2'
loop_
_atom_site_label
_atom_site_type_symbol
_atom_site_fract_x
_atom_site_fract_y
_atom_site_fract_z
_atom_site_occupancy
Tb1 Tb 0.0000 0.0000 0.2336 1
Tb2 Tb 0.0000 0.3251 0.2213 1
Cd1 Cd 0.0000 0.1647 0.5000 1
Cd2 Cd 0.0000 0.5000 0.0000 1
Cd3 Cd 0.0000 0.5000 0.5000 1
Ir1 Ir 0.0000 0.1550 0.0000 1
```

---

4.
Simulated PXRD pattern of PrCd2GaPd2 for λ = 1.5418 Å (Cu Kα), from a cell relaxed with PBE.
Kinematic intensities with the Lorentz-polarization factor, no thermal factor.

Top 10 peaks for 2θ from 10° to 80°, in order of rising 2θ:
2θ (°), I (rel.), hkl
16.8, 22, 0 0 2
23.7, 16, 1 1 0
29.2, 27, 1 1 2
30.5, 11, 1 0 3
33.8, 100, 2 0 0
38.0, 11, 2 0 2
46.1, 8, 2 1 3
48.6, 68, 2 2 0
60.6, 22, 2 2 4
71.1, 8, 4 0 0

Cell and atoms:
```
data_PrCd2GaPd2
_cell_length_a 5.3021
_cell_length_b 5.3021
_cell_length_c 10.5741
_cell_angle_alpha 90.00
_cell_angle_beta 90.00
_cell_angle_gamma 90.00
_space_group_name_H-M_alt 'I 4/m m m'
_space_group_IT_number 139
_space_group_name_Hall '-I 4 2'
loop_
_atom_site_label
_atom_site_type_symbol
_atom_site_fract_x
_atom_site_fract_y
_atom_site_fract_z
_atom_site_occupancy
Pr1 Pr 0.0000 0.0000 0.0000 1
Cd1 Cd 0.0000 0.5000 0.2500 1
Ga1 Ga 0.0000 0.0000 0.5000 1
Pd1 Pd 0.0000 0.0000 0.2747 1
```

---

Q: Which formula does entry 1 have?
A: Tm7Co2Cu2

---

Q: Number 4 is which compound?
A: PrCd2GaPd2